Computed powder diffractogram
Compound: Nd8SmTh3
Radiation: Cu Kα (λ = 1.5418 Å)
Structure: DFT lattice parameters and positions (GGA-PBE)
Intensities are scaled so that the largest is 100.

Crystal structure
```
data_Nd8SmTh3
_chemical_formula_sum 'Nd8 Sm1 Th3'
_cell_length_a 6.3134
_cell_length_b 6.3358
_cell_length_c 10.9240
_cell_angle_alpha 73.42
_cell_angle_beta 84.44
_cell_angle_gamma 80.26
_space_group_name_H-M_alt 'P -1'
_space_group_IT_number 2
loop_
_space_group_symop_operation_xyz
'x,y,z'
'-x,-y,-z'
loop_
_atom_site_label
_atom_site_type_symbol
_atom_site_fract_x
_atom_site_fract_y
_atom_site_fract_z
Nd1 Nd 0.0055 0.3349 0.1660
Nd2 Nd 0.2480 0.4179 0.5826
Nd3 Nd 0.2561 0.0819 0.9186
Nd4 Nd 0.4913 0.1722 0.3280
Sm1 Sm 0.0000 0.0000 0.5000
Th1 Th 0.2550 0.7451 0.2478
Th2 Th 0.5000 0.5000 0.0000
```

The 10 most intense peaks (2θ = 15–90°), in order of falling intensity:
| (hkl) | d_spacing | I_rel |
| --- | --- | --- |
| 2 1 1 | 2.979 | 100 |
| 1 1 4 | 2.575 | 34 |
| 1 3 6 | 1.554 | 25 |
| 2 3 3 | 1.827 | 18 |
| 1 2 -1 | 2.590 | 17 |
| 3 1 -2 | 1.823 | 12 |
| 0 4 4 | 1.490 | 9 |
| 2 5 5 | 1.185 | 7 |
| 1 4 1 | 1.561 | 7 |
| 3 3 0 | 1.559 | 7 |